Diffraction record for LiVPO5. The powder diffractogram is computed, not measured: it uses DFT lattice parameters and positions (PBE+U) and Cu Kα (weighted mean of Kα1 and Kα2).
Intensities are scaled so that the largest is 100.

Cell and atoms:
Cell lengths 6.4190, 7.5901, 8.2976 Å; angles 90.00, 90.00, 90.00 degrees
Atoms (fractional coordinates):
Li 0.1017 0.1257 0.2476
Li 0.3983 0.8743 0.7476
Li 0.6017 0.3743 0.7524
Li 0.8983 0.6257 0.2524
V 0.1206 0.4205 0.5966
V 0.3794 0.5795 0.0966
V 0.6206 0.0795 0.4034
V 0.8794 0.9205 0.9034
P 0.1032 0.3072 0.9008
P 0.3968 0.6928 0.4008
P 0.6032 0.1928 0.0992
P 0.8968 0.8072 0.5992
O 0.0718 0.1180 0.9620
O 0.0766 0.8718 0.7133
O 0.1063 0.2743 0.4512
O 0.1350 0.4260 0.0498
O 0.2095 0.6752 0.2797
O 0.2905 0.3248 0.7797
O 0.3650 0.5740 0.5498
O 0.3937 0.7257 0.9512
O 0.4234 0.1282 0.2133
O 0.4282 0.8820 0.4620
O 0.5718 0.3820 0.0380
O 0.5766 0.6282 0.2867
O 0.6063 0.2257 0.5488
O 0.6350 0.0740 0.9502
O 0.7095 0.8248 0.7203
O 0.7905 0.1752 0.2203
O 0.8650 0.9260 0.4502
O 0.8937 0.7743 0.0488
O 0.9234 0.3718 0.7867
O 0.9282 0.6180 0.5380

Largest 6 diffraction maxima, most intense first, 10 to 90 degrees two-theta:
18.10 deg, I 100; 17.47 deg, I 80; 25.81 deg, I 78; 30.23 deg, I 67; 21.05 deg, I 65; 37.35 deg, I 50

=====

Diffraction record for NaMgNiO2. The powder diffractogram is computed, not measured: it uses DFT lattice parameters and positions (PBE+U) and Cu Kα (weighted mean of Kα1 and Kα2).
Intensities are scaled so that the largest is 100.

Cell and atoms:
Cell lengths 2.9101, 5.5193, 5.7254 Å; angles 93.04, 90.13, 90.01 degrees
Atoms (fractional coordinates):
Na 0.0000 0.0000 0.0000
Mg 0.5000 0.0000 0.5000
Ni 0.5000 0.5000 0.5000
O 0.0003 0.2487 0.5410
O 0.9997 0.7513 0.4590

Largest 6 diffraction maxima, most intense first, 10 to 90 degrees two-theta:
15.50 deg, I 100; 31.29 deg, I 36; 47.57 deg, I 21; 23.00 deg, I 20; 48.79 deg, I 19; 34.59 deg, I 18

=====

Diffraction record for CoAuO3. The powder diffractogram is computed, not measured: it uses DFT lattice parameters and positions (PBE+U) and Cu Kα (weighted mean of Kα1 and Kα2).
Intensities are scaled so that the largest is 100.

Cell and atoms:
Cell lengths 3.7990, 3.7990, 3.7990 Å; angles 90.00, 90.00, 90.00 degrees
Atoms (fractional coordinates):
Co 0.0000 0.0000 0.0000
Au 0.5000 0.5000 0.5000
O 0.0000 0.0000 0.5000
O 0.0000 0.5000 0.0000
O 0.5000 0.0000 0.0000

Largest 6 diffraction maxima, most intense first, 10 to 90 degrees two-theta:
33.35 deg, I 100; 59.61 deg, I 39; 47.89 deg, I 28; 23.42 deg, I 27; 41.16 deg, I 22; 70.05 deg, I 17

=====

Diffraction record for Li4Ti2Mn3O10. The powder diffractogram is computed, not measured: it uses DFT lattice parameters and positions (PBE+U) and Cu Kα (weighted mean of Kα1 and Kα2).
Intensities are scaled so that the largest is 100.

Cell and atoms:
Cell lengths 5.1968, 5.2626, 7.9790 Å; angles 72.26, 73.78, 78.07 degrees
Atoms (fractional coordinates):
Li 0.1180 0.0752 0.2509
Li 0.2590 0.9805 0.8977
Li 0.7410 0.0195 0.1023
Li 0.8820 0.9248 0.7491
Ti 0.4138 0.5516 0.1757
Ti 0.5862 0.4484 0.8243
Mn 0.1761 0.4857 0.6178
Mn 0.5000 0.0000 0.5000
Mn 0.8239 0.5143 0.3822
O 0.0877 0.7709 0.1633
O 0.1643 0.3006 0.4265
O 0.2703 0.7288 0.7242
O 0.3915 0.2806 0.0526
O 0.4983 0.2534 0.6743
O 0.5017 0.7466 0.3257
O 0.6085 0.7194 0.9474
O 0.7297 0.2712 0.2758
O 0.8357 0.6994 0.5735
O 0.9123 0.2291 0.8367

Largest 6 diffraction maxima, most intense first, 10 to 90 degrees two-theta:
17.88 deg, I 100; 11.97 deg, I 62; 40.10 deg, I 56; 42.60 deg, I 54; 43.69 deg, I 52; 30.43 deg, I 38

=====

Diffraction record for Li2Mn3F8. The powder diffractogram is computed, not measured: it uses DFT lattice parameters and positions (PBE+U) and Cu Kα (weighted mean of Kα1 and Kα2).
Intensities are scaled so that the largest is 100.

Cell and atoms:
Cell lengths 8.9280, 11.8306, 6.7060 Å; angles 90.00, 96.87, 90.00 degrees
Atoms (fractional coordinates):
Li 0.0698 0.1136 0.3934
Li 0.0698 0.3864 0.8934
Li 0.4039 0.5772 0.6949
Li 0.4039 0.9228 0.1949
Li 0.5961 0.0772 0.8051
Li 0.5961 0.4228 0.3051
Li 0.9302 0.6136 0.1066
Li 0.9302 0.8864 0.6066
Mn 0.0627 0.6082 0.6433
Mn 0.0627 0.8918 0.1433
Mn 0.2659 0.5906 0.1801
Mn 0.2659 0.9094 0.6801
Mn 0.3428 0.1969 0.1452
Mn 0.3428 0.3031 0.6452
Mn 0.6572 0.6969 0.3548
Mn 0.6572 0.8031 0.8548
Mn 0.7341 0.0906 0.3199
Mn 0.7341 0.4094 0.8199
Mn 0.9373 0.1082 0.8567
Mn 0.9373 0.3918 0.3567
F 0.0937 0.0439 0.6595
F 0.0937 0.4561 0.1595
F 0.0958 0.7158 0.1363
F 0.0958 0.7842 0.6363
F 0.1005 0.0828 0.1131
F 0.1005 0.4172 0.6131
F 0.2239 0.2180 0.4103
F 0.2239 0.2820 0.9103
F 0.2533 0.5952 0.4790
F 0.2533 0.9048 0.9790
F 0.2565 0.5846 0.8747
F 0.2565 0.9154 0.3747
F 0.4698 0.1934 0.8461
F 0.4698 0.3066 0.3461
F 0.4956 0.0665 0.2433
F 0.4956 0.4335 0.7433
F 0.5044 0.5665 0.2567
F 0.5044 0.9335 0.7567
F 0.5302 0.6934 0.6539
F 0.5302 0.8066 0.1539
F 0.7435 0.0846 0.6253
F 0.7435 0.4154 0.1253
F 0.7467 0.0952 0.0210
F 0.7467 0.4048 0.5210
F 0.7761 0.7180 0.0897
F 0.7761 0.7820 0.5897
F 0.8995 0.5828 0.3869
F 0.8995 0.9172 0.8869
F 0.9042 0.2158 0.3637
F 0.9042 0.2842 0.8637
F 0.9063 0.5439 0.8405
F 0.9063 0.9561 0.3405

Largest 6 diffraction maxima, most intense first, 10 to 90 degrees two-theta:
24.71 deg, I 100; 29.65 deg, I 49; 21.74 deg, I 39; 21.41 deg, I 38; 27.48 deg, I 35; 44.79 deg, I 28

=====

Diffraction record for Li2CrH8Cl5O4. The powder diffractogram is computed, not measured: it uses DFT lattice parameters and positions (PBE+U) and Cu Kα (weighted mean of Kα1 and Kα2).
Intensities are scaled so that the largest is 100.

Cell and atoms:
Cell lengths 8.4973, 8.4973, 13.6038 Å; angles 111.86, 111.86, 43.98 degrees
Atoms (fractional coordinates):
Li 0.1043 0.3755 0.3895
Li 0.3755 0.1043 0.8895
Li 0.6245 0.8957 0.1105
Li 0.8957 0.6245 0.6105
Cr 0.5000 0.5000 0.0000
Cr 0.5000 0.5000 0.5000
H 0.0621 0.7500 0.5040
H 0.1395 0.6132 0.0279
H 0.1596 0.8243 0.6174
H 0.1757 0.8404 0.8826
H 0.2227 0.7010 0.1391
H 0.2500 0.9379 0.9960
H 0.2990 0.7773 0.3609
H 0.3868 0.8605 0.4721
H 0.6132 0.1395 0.5279
H 0.7010 0.2227 0.6391
H 0.7500 0.0621 0.0040
H 0.7773 0.2990 0.8609
H 0.8243 0.1596 0.1174
H 0.8404 0.1757 0.3826
H 0.8605 0.3868 0.9721
H 0.9379 0.2500 0.4960
Cl 0.0084 0.9916 0.2500
Cl 0.2010 0.2321 0.5418
Cl 0.2321 0.2010 0.0418
Cl 0.3557 0.3684 0.3423
Cl 0.3684 0.3557 0.8423
Cl 0.6316 0.6443 0.1577
Cl 0.6443 0.6316 0.6577
Cl 0.7679 0.7990 0.9582
Cl 0.7990 0.7679 0.4582
Cl 0.9916 0.0084 0.7500
O 0.1851 0.7556 0.5414
O 0.2444 0.8149 0.9586
O 0.2805 0.5750 0.0761
O 0.4251 0.7195 0.4239
O 0.5750 0.2805 0.5761
O 0.7195 0.4250 0.9239
O 0.7556 0.1851 0.0414
O 0.8149 0.2444 0.4586

Largest 6 diffraction maxima, most intense first, 10 to 90 degrees two-theta:
23.00 deg, I 100; 14.22 deg, I 53; 28.04 deg, I 26; 19.10 deg, I 25; 30.27 deg, I 24; 12.27 deg, I 24

=====

Diffraction record for Li9Mn2Co5O16. The powder diffractogram is computed, not measured: it uses DFT lattice parameters and positions (PBE+U) and Cu Kα (weighted mean of Kα1 and Kα2).
Intensities are scaled so that the largest is 100.

Cell and atoms:
Cell lengths 5.0090, 6.9440, 8.6893 Å; angles 100.06, 93.32, 101.13 degrees
Atoms (fractional coordinates):
Li 0.0000 0.0000 0.0000
Li 0.0012 0.2423 0.7446
Li 0.0022 0.4935 0.4935
Li 0.2491 0.1834 0.3080
Li 0.4949 0.8744 0.1237
Li 0.4980 0.3689 0.6142
Li 0.4986 0.1213 0.8708
Li 0.5013 0.6186 0.3708
Li 0.9982 0.7498 0.2463
Mn 0.2492 0.6865 0.8057
Mn 0.7481 0.5554 0.9366
Co 0.2493 0.4291 0.0600
Co 0.2485 0.9365 0.5576
Co 0.7446 0.2964 0.1863
Co 0.7492 0.8136 0.6780
Co 0.7543 0.0696 0.4307
O 0.0875 0.2001 0.5186
O 0.0960 0.4545 0.2560
O 0.1152 0.7134 0.0157
O 0.1285 0.9656 0.7617
O 0.3741 0.6520 0.5960
O 0.3822 0.4066 0.8554
O 0.3995 0.9127 0.3611
O 0.4117 0.1677 0.0977
O 0.6069 0.5803 0.1421
O 0.6112 0.0762 0.6378
O 0.6189 0.8376 0.8876
O 0.6383 0.3297 0.3898
O 0.8592 0.0367 0.2270
O 0.8791 0.5359 0.7259
O 0.8893 0.7866 0.4750
O 0.8916 0.2828 0.9807

Largest 6 diffraction maxima, most intense first, 10 to 90 degrees two-theta:
18.35 deg, I 100; 44.79 deg, I 51; 40.69 deg, I 36; 36.74 deg, I 23; 33.96 deg, I 21; 61.94 deg, I 16

=====

Diffraction record for CsTbMo2O8. The powder diffractogram is computed, not measured: it uses DFT lattice parameters and positions (PBE+U) and Cu Kα (weighted mean of Kα1 and Kα2).
Intensities are scaled so that the largest is 100.

Cell and atoms:
Cell lengths 5.1165, 9.7243, 8.4147 Å; angles 90.00, 90.00, 90.00 degrees
Atoms (fractional coordinates):
Cs 0.0000 0.0000 0.2500
Cs 0.0000 0.0000 0.7500
Tb 0.0000 0.5000 0.2500
Tb 0.0000 0.5000 0.7500
Mo 0.4748 0.3085 0.0000
Mo 0.4748 0.6915 0.5000
Mo 0.5252 0.3085 0.5000
Mo 0.5252 0.6915 0.0000
O 0.2488 0.4318 0.5000
O 0.2488 0.5682 0.0000
O 0.2604 0.3205 0.1707
O 0.2604 0.3205 0.8293
O 0.2604 0.6795 0.3293
O 0.2604 0.6795 0.6707
O 0.3889 0.1427 0.5000
O 0.3889 0.8573 0.0000
O 0.6111 0.1427 0.0000
O 0.6111 0.8573 0.5000
O 0.7396 0.3205 0.3293
O 0.7396 0.3205 0.6707
O 0.7396 0.6795 0.1707
O 0.7396 0.6795 0.8293
O 0.7512 0.4318 0.0000
O 0.7512 0.5682 0.5000

Largest 6 diffraction maxima, most intense first, 10 to 90 degrees two-theta:
27.45 deg, I 100; 25.27 deg, I 87; 28.05 deg, I 53; 45.50 deg, I 40; 50.53 deg, I 25; 42.98 deg, I 24

=====

Diffraction record for V3OF11. The powder diffractogram is computed, not measured: it uses DFT lattice parameters and positions (PBE+U) and Cu Kα (weighted mean of Kα1 and Kα2).
Intensities are scaled so that the largest is 100.

Cell and atoms:
Cell lengths 5.2732, 5.4560, 14.7627 Å; angles 79.68, 89.95, 89.92 degrees
Atoms (fractional coordinates):
V 0.0000 0.0000 0.0000
V 0.0018 0.6552 0.6602
V 0.4919 0.8221 0.3325
V 0.4968 0.1534 0.6676
V 0.5173 0.5300 0.9960
V 0.9920 0.3220 0.3326
O 0.0727 0.7003 0.5519
O 0.6965 0.7806 0.9767
F 0.0693 0.0274 0.8815
F 0.0767 0.3641 0.2154
F 0.1903 0.0119 0.3574
F 0.1951 0.3528 0.6923
F 0.2054 0.6856 0.0236
F 0.2842 0.1832 0.0233
F 0.2842 0.8490 0.6927
F 0.2933 0.5113 0.3579
F 0.3989 0.5202 0.8843
F 0.4035 0.1969 0.5508
F 0.4052 0.8613 0.2156
F 0.5641 0.4288 0.1158
F 0.5731 0.1116 0.7850
F 0.5773 0.7800 0.4504
F 0.6901 0.1318 0.3082
F 0.6994 0.4589 0.6420
F 0.7816 0.2979 0.9750
F 0.7900 0.9585 0.6418
F 0.7936 0.6321 0.3084
F 0.8998 0.6138 0.7818
F 0.9044 0.9392 0.1168
F 0.9050 0.2793 0.4504

Largest 6 diffraction maxima, most intense first, 10 to 90 degrees two-theta:
25.21 deg, I 100; 18.33 deg, I 74; 25.28 deg, I 32; 47.99 deg, I 22; 39.09 deg, I 14; 53.20 deg, I 12